The following is a theoretical powder XRD pattern of SmHo2Er4Th. It was derived from a crystal structure in Alexandria, relaxed with GGA-PBE, using Cu Kα.

The 6 most intense peaks (10° ≤ 2θ ≤ 80°), sorted by position:
30.95 deg, intensity 100, hkl 1 1 2; 35.74 deg, intensity 34, hkl 2 0 0; 36.19 deg, intensity 16, hkl 0 0 4; 51.78 deg, intensity 24, hkl 2 0 4; 61.24 deg, intensity 22, hkl 1 3 2; 61.85 deg, intensity 14, hkl 1 1 6

Crystal structure
a = 5.020 Å, b = 5.028 Å, c = 9.928 Å
α = 90.00°, β = 90.05°, γ = 90.00°
Element x y z (fractional)
Sm: 0.000 0.000 0.000
Ho: 0.000 0.000 0.500
Ho: 0.500 0.500 0.000
Er: 0.000 0.500 0.253
Er: 0.000 0.500 0.747
Er: 0.500 0.000 0.253
Er: 0.500 0.000 0.747
Th: 0.500 0.500 0.500



The following is a theoretical powder XRD pattern of KLiErF6. It was derived from a crystal structure in Alexandria, relaxed with GGA-PBE, using Cu Kα.

The 6 most intense peaks (10° ≤ 2θ ≤ 80°), sorted by position:
15.75 deg, intensity 34, hkl 0 0 1; 18.09 deg, intensity 57, hkl 1 0 0; 24.07 deg, intensity 100, hkl 1 0 1; 40.11 deg, intensity 24, hkl 2 0 1; 45.44 deg, intensity 34, hkl 2 -1 2; 51.93 deg, intensity 25, hkl 3 -1 1

Crystal structure
a = 5.663 Å, b = 5.663 Å, c = 5.628 Å
α = 90.00°, β = 90.00°, γ = 120.00°
Element x y z (fractional)
K: 0.000 0.000 0.000
Li: 0.667 0.333 0.500
Er: 0.333 0.667 0.500
F: 0.379 0.011 0.703
F: 0.379 0.368 0.297
F: 0.632 0.011 0.297
F: 0.632 0.621 0.703
F: 0.989 0.368 0.703
F: 0.989 0.621 0.297